Entry 1:
Diffraction record for NdY2Ge2Pt7. The powder XRD pattern is theoretical, not measured: it uses a structure optimized by DFT (PBE) and copper Kα.
Peak positions follow from Bragg's law for the DFT cell and can differ from measured ones.

Peak list (10 most intense, 2θ = 10–90°, low angle first)
Position (°2θ), d/Å, I/Imax
31.74, 2.819, 30
32.12, 2.787, 29
33.68, 2.661, 47
33.84, 2.649, 54
35.61, 2.521, 79
36.73, 2.447, 92
40.65, 2.219, 29
41.26, 2.188, 28
44.20, 2.049, 100
44.49, 2.036, 28

Crystal structure
```
12
Lattice="2.920 -2.879 0.000 2.920 2.879 0.000 -2.299 0.000 13.934" Properties=species:S:1:pos:R:3 pbc="T T T"
Nd 0.000 0.000 0.000
Y -0.103 0.000 5.013
Y 3.643 0.000 8.921
Ge 0.616 0.000 10.297
Ge 2.925 0.000 3.638
Pt 1.466 1.439 2.240
Pt 0.816 0.000 7.890
Pt 2.074 1.439 11.694
Pt 2.920 0.000 0.000
Pt 1.466 -1.439 2.240
Pt 2.725 0.000 6.044
Pt 2.074 -1.439 11.694
```


Entry 2:
Diffraction record for Er5Th3. The powder XRD pattern is theoretical, not measured: it uses a structure optimized by DFT (PBE) and copper Kα.
Peak positions follow from Bragg's law for the DFT cell and can differ from measured ones.

Peak list (10 most intense, 2θ = 10–90°, low angle first)
Position (°2θ), d/Å, I/Imax
30.93, 2.891, 100
35.76, 2.511, 34
36.07, 2.490, 17
51.47, 1.775, 12
51.70, 1.768, 24
61.27, 1.513, 29
61.67, 1.504, 14
64.45, 1.446, 12
84.05, 1.152, 6
84.41, 1.148, 12

Crystal structure
```
8
Lattice="3.551 0.000 0.000 0.000 3.551 0.000 0.000 0.000 19.923" Properties=species:S:1:pos:R:3 pbc="T T T"
Er 0.000 0.000 0.000
Er 0.000 0.000 4.940
Er 0.000 0.000 14.982
Er 1.775 1.775 7.547
Er 1.775 1.775 12.376
Th 0.000 0.000 9.961
Th 1.775 1.775 2.509
Th 1.775 1.775 17.414
```


Entry 3:
Diffraction record for U2InTe4. The powder XRD pattern is theoretical, not measured: it uses a structure optimized by DFT (PBE) and copper Kα.
Peak positions follow from Bragg's law for the DFT cell and can differ from measured ones.

Peak list (10 most intense, 2θ = 10–90°, low angle first)
Position (°2θ), d/Å, I/Imax
10.72, 8.253, 100
23.36, 3.808, 28
25.57, 3.484, 35
25.86, 3.445, 74
31.68, 2.824, 42
31.85, 2.810, 32
32.13, 2.786, 78
40.29, 2.239, 31
41.05, 2.199, 73
52.80, 1.734, 20

Crystal structure
```
7
Lattice="7.627 0.000 0.000 0.000 4.393 0.000 -0.139 0.000 8.253" Properties=species:S:1:pos:R:3 pbc="T T T"
U 0.000 0.000 0.000
U 3.814 2.196 0.000
In -0.070 0.000 4.127
Te 1.287 2.196 1.807
Te 2.429 0.000 6.484
Te 5.059 0.000 1.769
Te 6.201 2.196 6.446
```


Entry 4:
Diffraction record for Sn2Pd2Pt. The powder XRD pattern is theoretical, not measured: it uses a structure optimized by DFT (PBE) and copper Kα.
Peak positions follow from Bragg's law for the DFT cell and can differ from measured ones.

Peak list (10 most intense, 2θ = 10–90°, low angle first)
Position (°2θ), d/Å, I/Imax
16.21, 5.469, 51
27.96, 3.191, 58
31.67, 2.825, 68
37.07, 2.425, 100
39.42, 2.286, 86
41.89, 2.156, 47
42.96, 2.106, 51
43.45, 2.083, 83
47.45, 1.916, 70
47.67, 1.908, 52

Crystal structure
```
10
Lattice="-3.299 5.469 2.685 3.299 -5.469 2.685 3.299 5.469 -2.685" Properties=species:S:1:pos:R:3 pbc="T T T"
Sn 1.639 1.775 0.000
Sn 1.639 -1.775 2.685
Sn 1.661 7.245 0.000
Sn 1.661 3.694 2.685
Pd 4.238 1.067 0.000
Pd 0.938 4.402 0.000
Pd 2.361 1.067 2.685
Pd -0.938 4.402 2.685
Pt 0.000 0.000 1.343
Pt 0.000 0.000 4.028
```